Structure and calculated PXRD pattern of Cu5Si2 (a crystal structure in Alexandria, relaxed with PBE; Cu Kα, 1.54184 Å).

Largest 12 diffraction maxima, low angle first, 2θ = 10–80°:
two_theta  Rel. int.  index
12.98  26  0 4 0
27.88  6  0 4 1
29.46  9  1 5 0
38.72  95  1 5 1
42.11  5  1 7 1
46.31  100  1 9 1
46.62  31  0 14 0
50.01  29  2 0 0
50.37  28  0 0 2
70.76  16  2 14 0
71.05  16  0 14 2
73.71  17  2 0 2

Structural model:
a b c (Å): 3.648 27.276 3.623
angles (deg): 90.00 90.00 90.00
Space group Cmcm (No. 63)
Inequivalent atoms, fractional coordinates:
Cu 0.000 0.034 0.250 (multiplicity 4)
Cu 0.000 0.102 0.750 (multiplicity 4)
Cu 0.000 0.250 0.250 (multiplicity 4)
Cu 0.000 0.318 0.750 (multiplicity 4)
Cu 0.000 0.466 0.250 (multiplicity 4)
Si 0.000 0.188 0.750 (multiplicity 4)
Si 0.000 0.404 0.750 (multiplicity 4)